[1]
# Tm3TcO7
Calculated X-ray diffraction stick pattern, Cu Kα (weighted mean of Kα1 and Kα2). Input: the GGA-PBE geometry in Alexandria.

Structure:
```
data_Tm3TcO7
_space_group_name_H-M_alt 'C 2 2 21'
_space_group_IT_number 20
_space_group_name_Hall 'C 2c 2'
_cell_length_a 7.470
_cell_length_b 10.379
_cell_length_c 7.322
_cell_angle_alpha 90.00
_cell_angle_beta 90.00
_cell_angle_gamma 90.00
loop_
_atom_site_label
_atom_site_type_symbol
_atom_site_fract_x
_atom_site_fract_y
_atom_site_fract_z
_atom_site_occupancy
Tm1 Tm 0.044 0.000 0.000 1
Tm2 Tm 0.231 0.269 0.759 1
Tc1 Tc 0.003 0.500 0.000 1
O1 O 0.000 0.130 0.250 1
O2 O 0.000 0.138 0.750 1
O3 O 0.000 0.424 0.750 1
O4 O 0.177 0.370 0.043 1
O5 O 0.206 0.377 0.476 1
```

Principal peaks in the range 2θ from 15° to 90°, low angle first:
- 29.47°, intensity 98, hkl 2 2 0
- 29.87°, intensity 100, hkl 0 2 2
- 34.30°, intensity 45, hkl 2 0 2
- 34.57°, intensity 21, hkl 0 4 0
- 49.49°, intensity 53, hkl 2 4 2
- 58.94°, intensity 27, hkl 2 2 4



[2]
# Pm4ThCd5
Calculated X-ray diffraction stick pattern, Cu Kα (weighted mean of Kα1 and Kα2). Input: the GGA-PBE geometry in Alexandria.

Structure:
```
data_Pm4ThCd5
_space_group_name_H-M_alt 'P 4/m m m'
_space_group_IT_number 123
_space_group_name_Hall '-P 4 2'
_cell_length_a 3.827
_cell_length_b 3.827
_cell_length_c 19.218
_cell_angle_alpha 90.00
_cell_angle_beta 90.00
_cell_angle_gamma 90.00
loop_
_atom_site_label
_atom_site_type_symbol
_atom_site_fract_x
_atom_site_fract_y
_atom_site_fract_z
_atom_site_occupancy
Pm1 Pm 0.000 0.000 0.100 1
Pm2 Pm 0.000 0.000 0.299 1
Th1 Th 0.000 0.000 0.500 1
Cd1 Cd 0.500 0.500 0.000 1
Cd2 Cd 0.500 0.500 0.200 1
Cd3 Cd 0.500 0.500 0.397 1
```

Principal peaks in the range 2θ from 15° to 90°, low angle first:
- 33.05°, intensity 100, hkl 1 1 0
- 47.52°, intensity 12, hkl 2 0 0
- 58.95°, intensity 12, hkl 1 1 10
- 59.09°, intensity 25, hkl 2 1 5
- 69.30°, intensity 8, hkl 2 0 10
- 79.12°, intensity 11, hkl 3 1 0



[3]
# RbZr2AsW
Calculated X-ray diffraction stick pattern, Cu Kα (weighted mean of Kα1 and Kα2). Input: the GGA-PBE geometry in Alexandria.

Structure:
```
data_RbZr2AsW
_space_group_name_H-M_alt 'P 4/m m m'
_space_group_IT_number 123
_space_group_name_Hall '-P 4 2'
_cell_length_a 5.009
_cell_length_b 5.009
_cell_length_c 4.748
_cell_angle_alpha 90.00
_cell_angle_beta 90.00
_cell_angle_gamma 90.00
loop_
_atom_site_label
_atom_site_type_symbol
_atom_site_fract_x
_atom_site_fract_y
_atom_site_fract_z
_atom_site_occupancy
Rb1 Rb 0.000 0.000 0.000 1
Zr1 Zr 0.000 0.500 0.000 1
As1 As 0.500 0.500 0.500 1
W1 W 0.000 0.000 0.500 1
```

Principal peaks in the range 2θ from 15° to 90°, low angle first:
- 17.71°, intensity 57, hkl 1 0 0
- 31.51°, intensity 100, hkl 1 1 1
- 35.85°, intensity 78, hkl 2 0 0
- 37.90°, intensity 33, hkl 0 0 2
- 53.16°, intensity 50, hkl 2 0 2
- 61.73°, intensity 29, hkl 3 1 1



[4]
# BiPO4
Calculated X-ray diffraction stick pattern, Cu Kα (weighted mean of Kα1 and Kα2). Input: the GGA-PBE geometry in Alexandria.

Structure:
```
data_BiPO4
_space_group_name_H-M_alt 'I 41/a m d'
_space_group_IT_number 141
_cell_length_a 7.198
_cell_length_b 7.198
_cell_length_c 6.224
_cell_angle_alpha 90.00
_cell_angle_beta 90.00
_cell_angle_gamma 90.00
loop_
_space_group_symop_operation_xyz
'x,y,z'
'-x,-y,-z'
'-y+1/4,x+3/4,z+1/4'
'y+1/4,-x+3/4,-z+1/4'
'-x+1/2,-y,z+1/2'
'x+1/2,y,-z+1/2'
'y+1/4,-x+1/4,z+3/4'
'-y+1/4,x+1/4,-z+3/4'
'x,-y,-z'
'-x,y,z'
'-y+1/4,-x+1/4,-z+3/4'
'y+1/4,x+1/4,z+3/4'
'-x+1/2,y,-z+1/2'
'x+1/2,-y,z+1/2'
'y+1/4,x+3/4,-z+1/4'
'-y+1/4,-x+3/4,z+1/4'
'x+1/2,y+1/2,z+1/2'
'-x+1/2,-y+1/2,-z+1/2'
'-y+3/4,x+1/4,z+3/4'
'y+3/4,-x+1/4,-z+3/4'
'-x,-y+1/2,z'
'x,y+1/2,-z'
'y+3/4,-x+3/4,z+1/4'
'-y+3/4,x+3/4,-z+1/4'
'x+1/2,-y+1/2,-z+1/2'
'-x+1/2,y+1/2,z+1/2'
'-y+3/4,-x+3/4,-z+1/4'
'y+3/4,x+3/4,z+1/4'
'-x,y+1/2,-z'
'x,-y+1/2,z'
'y+3/4,x+1/4,-z+3/4'
'-y+3/4,-x+1/4,z+3/4'
loop_
_atom_site_label
_atom_site_type_symbol
_atom_site_fract_x
_atom_site_fract_y
_atom_site_fract_z
_atom_site_occupancy
Bi1 Bi 0.000 0.250 0.375 1
P1 P 0.000 0.250 0.875 1
O1 O 0.000 0.080 0.719 1
```

Principal peaks in the range 2θ from 15° to 90°, low angle first:
- 18.85°, intensity 71, hkl 1 0 1
- 24.74°, intensity 100, hkl 2 0 0
- 31.28°, intensity 37, hkl 2 1 1
- 33.76°, intensity 71, hkl 1 1 2
- 35.27°, intensity 25, hkl 2 2 0
- 49.62°, intensity 56, hkl 3 1 2